Structure and simulated XRD peak list of Sr3Tm3MgS8 (the PBE geometry in Alexandria; Cu Kα X-rays).
Lines closer than 0.1° are merged.

Peak list (10 most intense, 10 to 90 degrees two-theta, sorted by position)
2θ/deg	I (rel.)
13.0	25
15.6	26
26.2	15
27.5	35
31.5	100
44.3	36
46.0	34
56.8	18
73.4	16
76.0	15

Crystal structure
```
Sr3Tm3MgS8
1.0
3.9466 2.2786 6.8127
-3.9466 2.2786 6.8127
0.0000 -4.5572 6.8127
Sr Tm Mg S
3 3 1 8
Cartesian
-1.9733 -1.1393 6.8127
-1.9733 1.1393 13.6254
0.0000 2.2786 6.8127
-3.9466 0.0000 10.2190
-1.9733 1.1393 3.4063
1.9733 1.1393 3.4064
0.0000 0.0000 10.2191
0.0000 0.0000 4.9365
-1.9474 -1.1243 11.6878
0.0000 -2.2487 8.7503
-1.9474 1.1243 8.7503
1.9474 -1.1243 11.6879
0.0000 2.2487 11.6879
1.9474 1.1243 8.7502
0.0000 0.0000 15.5016
```

=====

Structure and simulated XRD peak list of SrTm4MgS8 (the PBE geometry in Alexandria; Cu Kα X-rays).
Lines closer than 0.1° are merged.

Peak list (10 most intense, 10 to 90 degrees two-theta, sorted by position)
2θ/deg	I (rel.)
13.6	24
22.3	35
25.9	100
26.2	21
31.5	25
38.8	16
41.3	19
41.5	20
44.9	34
45.4	33

Crystal structure
```
SrTm4MgS8
1.0
4.0352 2.3297 6.4895
-4.0352 2.3297 6.4895
0.0000 -4.6595 6.4895
Sr Tm Mg S
1 4 1 8
Cartesian
0.0000 0.0000 0.0000
0.0000 -2.3806 10.6636
-2.0616 1.1903 10.6636
0.0000 0.0000 14.7562
2.0616 1.1903 10.6636
0.0000 0.0000 7.3251
0.0000 0.0000 2.7838
0.0000 -2.0105 5.7119
-1.7412 1.0053 5.7119
-1.8839 -1.0877 9.0715
1.7412 1.0053 5.7119
1.8839 -1.0877 9.0715
0.0000 2.1754 9.0715
0.0000 0.0000 12.1369
```